Entry 1:
Calculated X-ray powder pattern
Compound: Th6HPb3
Radiation: a wavelength of 1.5418 Å
Structure: a cell relaxed with GGA-PBE

Peak list (6 most intense, 2θ = 15–90°, in order of rising 2θ)
| 2theta | Rel. int. |
| --- | --- |
| 29.70 | 43 |
| 29.96 | 36 |
| 31.54 | 32 |
| 33.18 | 100 |
| 36.05 | 20 |
| 54.96 | 20 |

Atomic structure:
abc: 10.441 10.441 5.976
angles: 90.00 90.00 119.59
Positions (direct):
Th  0.072  0.928  0.500
Th  0.086  0.572  0.310
Th  0.250  0.750  0.820
Th  0.260  0.406  0.997
Th  0.406  0.260  0.497
Th  0.428  0.914  0.310
Th  0.572  0.086  0.810
Th  0.594  0.740  0.997
Th  0.740  0.594  0.497
Th  0.750  0.250  0.320
Th  0.914  0.428  0.810
Th  0.928  0.072  0.000
H  0.197  0.803  0.466
H  0.803  0.197  0.966
Pb  0.072  0.257  0.502
Pb  0.257  0.072  0.002
Pb  0.409  0.591  0.501
Pb  0.591  0.409  0.001
Pb  0.743  0.928  0.502
Pb  0.928  0.743  0.002


Entry 2:
Calculated X-ray powder pattern
Compound: CsPa2Se4
Radiation: a wavelength of 1.5418 Å
Structure: a cell relaxed with GGA-PBE

Peak list (6 most intense, 2θ = 15–90°, in order of rising 2θ)
| 2theta | Rel. int. |
| --- | --- |
| 22.14 | 100 |
| 28.39 | 47 |
| 29.05 | 84 |
| 30.94 | 63 |
| 37.78 | 52 |
| 42.83 | 66 |

Atomic structure:
abc: 7.331 7.331 14.690
angles: 90.00 90.00 146.33
Positions (direct):
Cs  0.108  0.892  0.750
Cs  0.892  0.108  0.250
Pa  0.371  0.629  0.562
Pa  0.371  0.629  0.938
Pa  0.629  0.371  0.062
Pa  0.629  0.371  0.438
Se  0.000  0.000  0.000
Se  0.000  0.000  0.500
Se  0.261  0.739  0.103
Se  0.261  0.739  0.397
Se  0.408  0.592  0.750
Se  0.592  0.408  0.250
Se  0.739  0.261  0.603
Se  0.739  0.261  0.897


Entry 3:
Calculated X-ray powder pattern
Compound: Pm2Nd2Dy2Mg
Radiation: a wavelength of 1.5418 Å
Structure: a cell relaxed with GGA-PBE

Peak list (6 most intense, 2θ = 15–90°, in order of rising 2θ)
| 2theta | Rel. int. |
| --- | --- |
| 30.65 | 100 |
| 34.65 | 39 |
| 37.24 | 12 |
| 49.82 | 14 |
| 51.77 | 19 |
| 59.63 | 30 |

Atomic structure:
abc: 17.101 17.100 3.661
angles: 83.87 83.85 12.29
Positions (direct):
Pm  0.064  0.064  0.936
Pm  0.936  0.936  0.064
Nd  0.212  0.212  0.788
Nd  0.788  0.788  0.212
Dy  0.363  0.363  0.637
Dy  0.637  0.637  0.363
Mg  0.500  0.500  0.500


Entry 4:
Calculated X-ray powder pattern
Compound: PrNd2SmTm
Radiation: a wavelength of 1.5418 Å
Structure: a cell relaxed with GGA-PBE

Peak list (6 most intense, 2θ = 15–90°, in order of rising 2θ)
| 2theta | Rel. int. |
| --- | --- |
| 28.14 | 88 |
| 28.38 | 65 |
| 29.02 | 96 |
| 29.48 | 100 |
| 32.09 | 56 |
| 32.69 | 80 |

Atomic structure:
abc: 8.467 6.607 6.303
angles: 90.00 93.60 90.00
Positions (direct):
Pr  0.000  0.000  0.000
Pr  0.000  0.000  0.500
Nd  0.311  0.308  0.229
Nd  0.311  0.692  0.729
Nd  0.689  0.308  0.271
Nd  0.689  0.692  0.771
Sm  0.000  0.435  0.750
Sm  0.000  0.565  0.250
Tm  0.500  0.164  0.750
Tm  0.500  0.836  0.250


Entry 5:
Calculated X-ray powder pattern
Compound: KTa2P
Radiation: a wavelength of 1.5418 Å
Structure: a cell relaxed with GGA-PBE

Peak list (6 most intense, 2θ = 15–90°, in order of rising 2θ)
| 2theta | Rel. int. |
| --- | --- |
| 32.24 | 31 |
| 36.09 | 100 |
| 37.01 | 14 |
| 37.92 | 26 |
| 41.83 | 41 |
| 67.30 | 16 |

Atomic structure:
abc: 2.996 2.996 9.715
angles: 90.00 90.00 104.74
Positions (direct):
K  0.000  0.000  0.000
Ta  0.000  0.000  0.560
Ta  0.500  0.500  0.340
P  0.500  0.500  0.737


Entry 6:
Calculated X-ray powder pattern
Compound: Mo3OsRu3
Radiation: a wavelength of 1.5418 Å
Structure: a cell relaxed with GGA-PBE

Peak list (6 most intense, 2θ = 15–90°, in order of rising 2θ)
| 2theta | Rel. int. |
| --- | --- |
| 33.15 | 12 |
| 42.29 | 47 |
| 42.46 | 100 |
| 61.35 | 13 |
| 77.46 | 26 |
| 77.81 | 16 |

Atomic structure:
abc: 6.044 6.044 5.999
angles: 90.00 90.00 90.08
Positions (direct):
Mo  0.000  0.000  0.249
Mo  0.000  0.000  0.751
Mo  0.000  0.500  0.250
Mo  0.000  0.500  0.750
Mo  0.500  0.000  0.250
Mo  0.500  0.000  0.750
Os  0.272  0.272  0.000
Os  0.728  0.728  0.000
Ru  0.273  0.727  0.500
Ru  0.278  0.278  0.500
Ru  0.281  0.719  0.000
Ru  0.719  0.281  0.000
Ru  0.722  0.722  0.500
Ru  0.727  0.273  0.500


Entry 7:
Calculated X-ray powder pattern
Compound: Ti4S8Cl6O
Radiation: a wavelength of 1.5418 Å
Structure: a cell relaxed with GGA-PBE

Peak list (6 most intense, 2θ = 15–90°, in order of rising 2θ)
| 2theta | Rel. int. |
| --- | --- |
| 15.10 | 75 |
| 21.01 | 86 |
| 21.28 | 78 |
| 30.12 | 100 |
| 30.96 | 86 |
| 37.53 | 77 |

Atomic structure:
abc: 9.973 9.973 13.372
angles: 98.66 98.66 119.78
Positions (direct):
Ti  0.126  0.764  0.849
Ti  0.132  0.198  0.290
Ti  0.198  0.132  0.790
Ti  0.236  0.874  0.651
Ti  0.764  0.126  0.349
Ti  0.802  0.868  0.210
Ti  0.868  0.802  0.710
Ti  0.874  0.236  0.151
S  0.047  0.926  0.323
S  0.074  0.953  0.177
S  0.138  0.273  0.127
S  0.148  0.442  0.242
S  0.170  0.622  0.708
S  0.273  0.138  0.627
S  0.378  0.830  0.792
S  0.442  0.148  0.742
S  0.558  0.852  0.258
S  0.622  0.170  0.208
S  0.727  0.862  0.373
S  0.830  0.378  0.292
S  0.852  0.558  0.758
S  0.862  0.727  0.873
S  0.926  0.047  0.823
S  0.953  0.074  0.677
Cl  0.056  0.269  0.456
Cl  0.181  0.681  0.986
Cl  0.269  0.056  0.956
Cl  0.318  0.391  0.870
Cl  0.319  0.819  0.514
Cl  0.391  0.318  0.370
Cl  0.609  0.682  0.630
Cl  0.681  0.181  0.486
Cl  0.682  0.609  0.130
Cl  0.731  0.944  0.044
Cl  0.819  0.319  0.014
Cl  0.944  0.731  0.544
O  0.107  0.893  0.750
O  0.893  0.107  0.250